Entry 1:
Structure and computed XRD peak list of KNa2LiTl (a GGA-PBE-relaxed structure; Cu Kα (weighted mean of Kα1 and Kα2)).

Cell and atoms:
```
5
Lattice="6.0285 0.0000 0.0000 0.0000 6.0285 0.0000 0.0000 0.0000 5.5285" Properties=species:S:1:pos:R:3 pbc="T T T"
K 0.0000 0.0000 0.0000
Na 0.0000 3.0142 2.7643
Na 3.0142 0.0000 2.7643
Li 3.0142 3.0142 0.0000
Tl 3.0142 3.0142 2.7643
```

Peak list (10 most intense, 2θ from 10° to 90°, most intense first)
2theta	d/Å	intensity	h k l
21.81	4.075	100	1 0 1
14.69	6.028	57	1 0 0
37.10	2.423	51	2 1 1
20.84	4.263	39	1 1 0
29.64	3.014	37	2 0 0
16.03	5.529	36	0 0 1
33.87	2.646	24	2 0 1
44.47	2.037	24	2 0 2
33.23	2.696	17	2 1 0
38.83	2.319	16	1 1 2

---

Entry 2:
Structure and computed XRD peak list of KNaLi2Tl (a GGA-PBE-relaxed structure; Cu Kα (weighted mean of Kα1 and Kα2)).

Cell and atoms:
```
5
Lattice="5.4919 0.0000 0.0000 0.0000 5.4919 0.0000 0.0000 0.0000 5.9298" Properties=species:S:1:pos:R:3 pbc="T T T"
K 0.0000 0.0000 0.0000
Na 2.7459 2.7459 0.0000
Li 0.0000 2.7459 2.9649
Li 2.7459 0.0000 2.9649
Tl 2.7459 2.7459 2.9649
```

Peak list (10 most intense, 2θ from 10° to 90°, most intense first)
2theta	d/Å	intensity	h k l
22.06	4.029	100	1 0 1
16.14	5.492	71	1 0 0
22.90	3.883	64	1 1 0
39.72	2.269	44	2 1 1
38.19	2.357	34	1 1 2
32.61	2.746	30	2 0 0
14.94	5.930	26	0 0 1
45.00	2.015	25	2 0 2
34.37	2.609	23	1 0 2
36.59	2.456	20	2 1 0